No. 1
Diffraction record for K5AcS4. The X-ray powder pattern is computed, not measured: it uses a structure optimized by DFT (PBE) and Cu Kα.
Lines closer than 0.1° are merged.

Principal peaks in the range 2θ from 10° to 90°, sorted by position:
| two_theta | intensity |
| --- | --- |
| 10.11 | 50 |
| 11.64 | 100 |
| 20.31 | 21 |
| 21.82 | 28 |
| 23.41 | 26 |
| 24.49 | 33 |
| 29.03 | 97 |
| 30.67 | 34 |
| 38.64 | 56 |
| 38.75 | 23 |

a = 9.981 Å, b = 9.981 Å, c = 8.439 Å
α = 114.95°, β = 114.95°, γ = 26.94°
Positions (direct):
K 0.000 0.000 0.000
K 0.326 0.326 0.567
K 0.327 0.327 0.085
K 0.673 0.673 0.915
K 0.674 0.674 0.433
Ac 0.000 0.000 0.500
S 0.180 0.180 0.680
S 0.500 0.500 0.264
S 0.500 0.500 0.736
S 0.820 0.820 0.320


No. 2
Diffraction record for KAc5S8. The X-ray powder pattern is computed, not measured: it uses a structure optimized by DFT (PBE) and Cu Kα.
Lines closer than 0.1° are merged.

Principal peaks in the range 2θ from 10° to 90°, sorted by position:
| two_theta | intensity |
| --- | --- |
| 13.78 | 17 |
| 24.00 | 100 |
| 31.07 | 54 |
| 31.25 | 20 |
| 36.98 | 30 |
| 37.10 | 22 |
| 44.54 | 25 |
| 46.91 | 23 |
| 51.34 | 16 |
| 62.98 | 21 |

a = 7.868 Å, b = 7.868 Å, c = 7.868 Å
α = 109.30°, β = 109.30°, γ = 109.81°
Positions (direct):
K 0.000 0.000 0.000
Ac 0.119 0.239 0.616
Ac 0.250 0.750 0.500
Ac 0.497 0.881 0.120
Ac 0.623 0.503 0.384
Ac 0.761 0.377 0.880
S 0.028 0.616 0.744
S 0.235 0.492 0.105
S 0.384 0.128 0.412
S 0.387 0.130 0.895
S 0.508 0.613 0.744
S 0.716 0.972 0.588
S 0.870 0.765 0.256
S 0.872 0.284 0.256